# 1
# TeMoWSeS2
Theoretical powder diffractogram, Cu Kα (λ = 1.5418 Å). Input: a cell relaxed with PBE.
Kinematic intensities with the Lorentz-polarization factor, no thermal factor.

Structure:
```
TeMoWSeS2
1.0
3.306 0.000 0.000
-1.653 2.863 0.000
0.000 0.000 44.776
Te Mo W Se S
2 2 2 2 4
Direct
0.000 0.000 0.000
0.000 0.000 0.085
0.667 0.333 0.043
0.667 0.333 0.664
0.000 0.000 0.231
0.000 0.000 0.848
0.667 0.333 0.810
0.667 0.333 0.886
0.000 0.000 0.630
0.000 0.000 0.698
0.667 0.333 0.196
0.667 0.333 0.265
```

Most intense lines, 2θ = 10–90°, in order of falling intensity:
2θ = 40.99°, intensity 100
2θ = 35.21°, intensity 82
2θ = 31.27°, intensity 71
2θ = 11.86°, intensity 51
2θ = 55.61°, intensity 41
2θ = 42.38°, intensity 38
2θ = 32.84°, intensity 33
2θ = 56.63°, intensity 22
2θ = 13.84°, intensity 19
2θ = 71.36°, intensity 19

# 2
# CePaO4
Theoretical powder diffractogram, Cu Kα (λ = 1.5418 Å). Input: a cell relaxed with PBE.
Kinematic intensities with the Lorentz-polarization factor, no thermal factor.

Structure:
```
CePaO4
1.0
3.858 0.000 0.000
0.000 3.858 0.000
0.000 0.000 5.529
Ce Pa O
1 1 4
Direct
0.000 0.000 0.000
0.500 0.500 0.500
0.000 0.500 0.265
0.000 0.500 0.735
0.500 0.000 0.265
0.500 0.000 0.735
```

Most intense lines, 2θ = 10–90°, in order of falling intensity:
2θ = 28.21°, intensity 100
2θ = 46.79°, intensity 34
2θ = 55.82°, intensity 31
2θ = 32.83°, intensity 22
2θ = 47.12°, intensity 17
2θ = 55.24°, intensity 16
2θ = 75.49°, intensity 13
2θ = 32.39°, intensity 12
2θ = 87.38°, intensity 11
2θ = 58.34°, intensity 10

# 3
# K2Sb4S7
Theoretical powder diffractogram, Cu Kα (λ = 1.5418 Å). Input: a cell relaxed with PBE.
Kinematic intensities with the Lorentz-polarization factor, no thermal factor.

Structure:
```
K2Sb4S7
1.0
5.251 -4.041 0.000
5.251 4.041 0.000
-1.282 0.000 17.767
K Sb S
4 8 14
Direct
0.051 0.285 0.205
0.285 0.051 0.705
0.715 0.949 0.295
0.949 0.715 0.795
0.137 0.194 0.467
0.194 0.137 0.967
0.361 0.619 0.381
0.381 0.639 0.119
0.619 0.361 0.881
0.639 0.381 0.619
0.806 0.863 0.033
0.863 0.806 0.533
0.012 0.765 0.156
0.024 0.525 0.373
0.181 0.771 0.961
0.229 0.819 0.539
0.235 0.988 0.344
0.475 0.976 0.127
0.498 0.502 0.750
0.502 0.498 0.250
0.525 0.024 0.873
0.765 0.012 0.656
0.771 0.181 0.461
0.819 0.229 0.039
0.976 0.475 0.627
0.988 0.235 0.844
```

Most intense lines, 2θ = 10–90°, in order of falling intensity:
2θ = 27.84°, intensity 100
2θ = 24.90°, intensity 75
2θ = 29.27°, intensity 62
2θ = 17.43°, intensity 49
2θ = 31.19°, intensity 46
2θ = 14.92°, intensity 45
2θ = 42.50°, intensity 31
2θ = 25.34°, intensity 31
2θ = 22.57°, intensity 29
2θ = 48.00°, intensity 21

# 4
# CeMg2
Theoretical powder diffractogram, Cu Kα (λ = 1.5418 Å). Input: a cell relaxed with PBE.
Kinematic intensities with the Lorentz-polarization factor, no thermal factor.

Structure:
```
CeMg2
1.0
13.295 0.000 0.000
0.000 3.180 0.000
-1.606 0.000 7.243
Ce Mg
4 8
Direct
0.016 0.000 0.326
0.484 0.500 0.674
0.516 0.500 0.326
0.984 0.000 0.674
0.149 0.500 0.031
0.206 0.500 0.648
0.294 0.000 0.352
0.351 0.000 0.969
0.649 0.000 0.031
0.706 0.000 0.648
0.794 0.500 0.352
0.851 0.500 0.969
```

Most intense lines, 2θ = 10–90°, in order of falling intensity:
2θ = 13.64°, intensity 100
2θ = 35.02°, intensity 57
2θ = 37.26°, intensity 55
2θ = 28.91°, intensity 41
2θ = 12.22°, intensity 33
2θ = 32.83°, intensity 32
2θ = 32.59°, intensity 26
2θ = 27.49°, intensity 25
2θ = 32.09°, intensity 25
2θ = 20.25°, intensity 21